# 1
This entry pairs a crystal structure of Sm2MnAl2Ni5 with its simulated PXRD pattern. Radiation: Cu Kα (weighted mean of Kα1 and Kα2). Structure: the GGA-PBE geometry in Alexandria.

Principal peaks in the range 15° ≤ 2θ ≤ 90°, low angle first:
- 2θ 19.90, I = 33, hkl 2 1 0
- 2θ 33.51, I = 20, hkl 2 0 1
- 2θ 34.73, I = 53, hkl 2 1 1
- 2θ 37.16, I = 75, hkl 4 1 0
- 2θ 38.24, I = 67, hkl 3 3 0
- 2θ 40.36, I = 100, hkl 3 1 1
- 2θ 43.43, I = 19, hkl 3 2 1
- 2θ 58.25, I = 15, hkl 0 0 2
- 2θ 66.20, I = 15, hkl 6 2 1
- 2θ 71.15, I = 21, hkl 4 1 2

Structural model:
```
data_Sm2MnAl2Ni5
_chemical_formula_sum 'Sm4 Mn2 Al4 Ni10'
_cell_length_a 9.976
_cell_length_b 9.976
_cell_length_c 3.168
_cell_angle_alpha 90.00
_cell_angle_beta 90.00
_cell_angle_gamma 90.00
_space_group_name_H-M_alt 'P 4/m b m'
_space_group_IT_number 127
_space_group_name_Hall '-P 4 2ab'
loop_
_atom_site_label
_atom_site_fract_x
_atom_site_fract_y
_atom_site_fract_z
Sm1 0.175 0.325 0.000
Mn1 0.000 0.000 0.000
Al1 0.125 0.625 0.000
Ni1 0.000 0.500 0.500
Ni2 0.052 0.804 0.500
```

---

# 2
This entry pairs a crystal structure of Sr2Sn4Ir5 with its simulated PXRD pattern. Radiation: Cu Kα (weighted mean of Kα1 and Kα2). Structure: the GGA-PBE geometry in Alexandria.

Principal peaks in the range 15° ≤ 2θ ≤ 90°, low angle first:
- 2θ 17.11, I = 53, hkl 0 2 0
- 2θ 18.04, I = 29, hkl 1 1 1
- 2θ 34.38, I = 47, hkl 1 3 3
- 2θ 34.72, I = 44, hkl 2 2 0
- 2θ 37.62, I = 64, hkl 2 0 4
- 2θ 41.30, I = 27, hkl 1 3 5
- 2θ 41.56, I = 100, hkl 0 4 4
- 2θ 45.28, I = 32, hkl 0 0 8
- 2θ 58.17, I = 26, hkl 0 6 4
- 2θ 62.09, I = 26, hkl 2 6 0

Structural model:
```
data_Sr2Sn4Ir5
_chemical_formula_sum 'Sr8 Sn16 Ir20'
_cell_length_a 5.961
_cell_length_b 10.367
_cell_length_c 16.021
_cell_angle_alpha 90.00
_cell_angle_beta 90.00
_cell_angle_gamma 90.00
_space_group_name_H-M_alt 'F m m m'
_space_group_IT_number 69
_space_group_name_Hall '-F 2 2'
loop_
_atom_site_label
_atom_site_fract_x
_atom_site_fract_y
_atom_site_fract_z
Sr1 0.000 0.000 0.117
Sn1 0.000 0.161 0.371
Ir1 0.000 0.000 0.500
Ir2 0.250 0.250 0.000
Ir3 0.250 0.250 0.250
```

---

# 3
This entry pairs a crystal structure of K2DySbO6 with its simulated PXRD pattern. Radiation: Cu Kα (weighted mean of Kα1 and Kα2). Structure: the GGA-PBE geometry in Alexandria.

Principal peaks in the range 15° ≤ 2θ ≤ 90°, low angle first:
- 2θ 20.88, I = 60, hkl 2 0 0
- 2θ 29.70, I = 100, hkl 2 2 0
- 2θ 42.50, I = 35, hkl 4 0 0
- 2θ 47.81, I = 27, hkl 4 2 0
- 2θ 52.70, I = 39, hkl 4 2 2
- 2θ 61.67, I = 21, hkl 4 4 0
- 2θ 65.86, I = 13, hkl 6 0 0
- 2θ 69.93, I = 17, hkl 6 2 0
- 2θ 77.77, I = 7, hkl 4 4 4
- 2θ 85.38, I = 20, hkl 6 4 2

Structural model:
```
data_K2DySbO6
_chemical_formula_sum 'K8 Dy4 Sb4 O24'
_cell_length_a 8.508
_cell_length_b 8.508
_cell_length_c 8.508
_cell_angle_alpha 90.00
_cell_angle_beta 90.00
_cell_angle_gamma 90.00
_space_group_name_H-M_alt 'F m -3 m'
_space_group_IT_number 225
_space_group_name_Hall '-F 4 2 3'
loop_
_atom_site_label
_atom_site_fract_x
_atom_site_fract_y
_atom_site_fract_z
K1 0.250 0.250 0.250
Dy1 0.000 0.000 0.000
Sb1 0.000 0.000 0.500
O1 0.000 0.000 0.265
```

---

# 4
This entry pairs a crystal structure of ZnCuPtO4 with its simulated PXRD pattern. Radiation: Cu Kα (weighted mean of Kα1 and Kα2). Structure: the GGA-PBE geometry in Alexandria.

Principal peaks in the range 15° ≤ 2θ ≤ 90°, low angle first:
- 2θ 18.21, I = 100, hkl 1 0 1
- 2θ 31.15, I = 19, hkl 2 0 0
- 2θ 33.10, I = 54, hkl 1 0 3
- 2θ 34.53, I = 83, hkl 1 2 1
- 2θ 35.13, I = 40, hkl 0 2 2
- 2θ 35.88, I = 20, hkl 2 1 1
- 2θ 39.13, I = 20, hkl 0 0 4
- 2θ 43.14, I = 26, hkl 2 2 0
- 2θ 57.63, I = 21, hkl 3 2 1
- 2θ 59.64, I = 38, hkl 2 2 4

Structural model:
```
data_ZnCuPtO4
_chemical_formula_sum 'Zn4 Cu4 Pt4 O16'
_cell_length_a 5.742
_cell_length_b 6.140
_cell_length_c 9.207
_cell_angle_alpha 90.00
_cell_angle_beta 90.00
_cell_angle_gamma 90.00
_space_group_name_H-M_alt 'I m m a'
_space_group_IT_number 74
_space_group_name_Hall '-I 2b 2'
loop_
_atom_site_label
_atom_site_fract_x
_atom_site_fract_y
_atom_site_fract_z
Zn1 0.000 0.250 0.162
Cu1 0.250 0.250 0.750
Pt1 0.000 0.000 0.500
O1 0.000 0.030 0.721
O2 0.234 0.250 0.482
```

---

# 5
This entry pairs a crystal structure of SmZnFe2H8 with its simulated PXRD pattern. Radiation: Cu Kα (weighted mean of Kα1 and Kα2). Structure: the GGA-PBE geometry in Alexandria.

Principal peaks in the range 15° ≤ 2θ ≤ 90°, low angle first:
- 2θ 22.90, I = 64, hkl 1 0 0
- 2θ 26.81, I = 66, hkl 0 1 1
- 2θ 27.70, I = 14, hkl 0 0 2
- 2θ 36.24, I = 100, hkl 1 0 2
- 2θ 40.23, I = 64, hkl 1 1 0
- 2θ 49.54, I = 19, hkl 1 1 2
- 2θ 55.24, I = 30, hkl 0 2 2
- 2θ 59.62, I = 13, hkl 1 1 3
- 2θ 62.43, I = 22, hkl 0 1 4
- 2θ 70.51, I = 28, hkl 2 1 2

Structural model:
```
data_SmZnFe2H8
_chemical_formula_sum 'Sm1 Zn1 Fe2 H8'
_cell_length_a 4.4838
_cell_length_b 4.4838
_cell_length_c 6.4418
_cell_angle_alpha 90.00
_cell_angle_beta 90.00
_cell_angle_gamma 120.00
_space_group_name_H-M_alt 'P -3 m 1'
_space_group_IT_number 164
_space_group_name_Hall '-P 3 2"'
loop_
_atom_site_label
_atom_site_fract_x
_atom_site_fract_y
_atom_site_fract_z
Sm1 0.0000 0.0000 0.0000
Zn1 0.0000 0.0000 0.5000
Fe1 0.3333 0.6667 0.3414
H1 0.1463 0.2927 0.2871
H2 0.3333 0.6667 0.0974
```

---

# 6
This entry pairs a crystal structure of CaZrAl with its simulated PXRD pattern. Radiation: Cu Kα (weighted mean of Kα1 and Kα2). Structure: the GGA-PBE geometry in Alexandria.

Principal peaks in the range 15° ≤ 2θ ≤ 90°, low angle first:
- 2θ 24.78, I = 21, hkl 1 0 1
- 2θ 30.55, I = 13, hkl 1 0 5
- 2θ 34.94, I = 57, hkl 1 1 0
- 2θ 35.46, I = 100, hkl 1 0 7
- 2θ 35.71, I = 21, hkl 1 1 2
- 2θ 41.22, I = 23, hkl 1 0 9
- 2θ 50.24, I = 19, hkl 2 0 0
- 2θ 62.99, I = 35, hkl 2 1 7
- 2θ 64.02, I = 13, hkl 1 1 14
- 2θ 66.94, I = 11, hkl 2 1 9

Structural model:
```
data_CaZrAl
_chemical_formula_sum 'Ca4 Zr4 Al4'
_cell_length_a 3.632
_cell_length_b 3.632
_cell_length_c 24.706
_cell_angle_alpha 90.00
_cell_angle_beta 90.00
_cell_angle_gamma 90.00
_space_group_name_H-M_alt 'I 4/m m m'
_space_group_IT_number 139
_space_group_name_Hall '-I 4 2'
loop_
_atom_site_label
_atom_site_fract_x
_atom_site_fract_y
_atom_site_fract_z
Ca1 0.000 0.000 0.076
Zr1 0.000 0.000 0.215
Al1 0.000 0.000 0.341
```

---

# 7
This entry pairs a crystal structure of Tb2Nd5TmSc with its simulated PXRD pattern. Radiation: Cu Kα (weighted mean of Kα1 and Kα2). Structure: the GGA-PBE geometry in Alexandria.

Principal peaks in the range 15° ≤ 2θ ≤ 90°, low angle first:
- 2θ 26.98, I = 35, hkl 1 3 2
- 2θ 31.33, I = 9, hkl 1 1 3
- 2θ 31.61, I = 100, hkl 1 5 2
- 2θ 32.69, I = 14, hkl 0 8 0
- 2θ 33.32, I = 32, hkl 2 0 0
- 2θ 35.09, I = 17, hkl 0 0 4
- 2θ 47.37, I = 10, hkl 2 8 0
- 2θ 49.17, I = 13, hkl 2 0 4
- 2θ 58.47, I = 17, hkl 3 5 2
- 2θ 60.31, I = 21, hkl 1 13 2

Structural model:
```
data_Tb2Nd5TmSc
_chemical_formula_sum 'Tb8 Nd20 Tm4 Sc4'
_cell_length_a 5.379
_cell_length_b 21.916
_cell_length_c 10.229
_cell_angle_alpha 90.00
_cell_angle_beta 90.00
_cell_angle_gamma 90.00
_space_group_name_H-M_alt 'C m c 21'
_space_group_IT_number 36
_space_group_name_Hall 'C 2c -2'
loop_
_atom_site_label
_atom_site_fract_x
_atom_site_fract_y
_atom_site_fract_z
Tb1 0.000 0.115 0.000
Tb2 0.000 0.116 0.503
Nd1 0.000 0.000 0.251
Nd2 0.000 0.278 0.064
Nd3 0.000 0.279 0.440
Nd4 0.000 0.373 0.752
Nd5 0.000 0.500 0.001
Tm1 0.000 0.398 0.251
Sc1 0.000 0.212 0.752
```

---

# 8
This entry pairs a crystal structure of Cs2SrUSe6 with its simulated PXRD pattern. Radiation: Cu Kα (weighted mean of Kα1 and Kα2). Structure: the GGA-PBE geometry in Alexandria.

Principal peaks in the range 15° ≤ 2θ ≤ 90°, low angle first:
- 2θ 15.51, I = 23, hkl 0 0 2
- 2θ 22.01, I = 79, hkl 1 1 1
- 2θ 27.04, I = 31, hkl 2 0 0
- 2θ 31.32, I = 100, hkl 0 0 4
- 2θ 38.61, I = 35, hkl 2 0 -6
- 2θ 44.88, I = 71, hkl 2 2 2
- 2θ 55.75, I = 24, hkl 4 0 0
- 2θ 60.66, I = 22, hkl 4 2 -8
- 2θ 74.25, I = 30, hkl 2 2 6
- 2θ 82.78, I = 22, hkl 4 0 4

Structural model:
```
data_Cs2SrUSe6
_chemical_formula_sum 'Cs4 Sr2 U2 Se12'
_cell_length_a 8.080
_cell_length_b 8.080
_cell_length_c 13.987
_cell_angle_alpha 90.00
_cell_angle_beta 125.27
_cell_angle_gamma 90.00
_space_group_name_H-M_alt 'P 1 21/c 1'
_space_group_IT_number 14
_space_group_name_Hall '-P 2ybc'
loop_
_atom_site_label
_atom_site_fract_x
_atom_site_fract_y
_atom_site_fract_z
Cs1 0.250 0.000 0.250
Sr1 0.000 0.000 0.500
U1 0.500 0.000 0.000
Se1 0.266 0.233 0.000
Se2 0.267 0.501 0.267
Se3 0.267 0.734 0.500
```

---

# 9
This entry pairs a crystal structure of Li2MgAg8 with its simulated PXRD pattern. Radiation: Cu Kα (weighted mean of Kα1 and Kα2). Structure: the GGA-PBE geometry in Alexandria.

Principal peaks in the range 15° ≤ 2θ ≤ 90°, low angle first:
- 2θ 16.02, I = 7, hkl 2 0 -1
- 2θ 21.20, I = 9, hkl 2 0 1
- 2θ 25.01, I = 7, hkl 4 0 0
- 2θ 25.77, I = 11, hkl 1 1 -1
- 2θ 37.90, I = 100, hkl 1 1 2
- 2θ 43.57, I = 17, hkl 4 0 -3
- 2θ 44.27, I = 32, hkl 0 2 0
- 2θ 63.84, I = 15, hkl 4 2 -3
- 2θ 64.40, I = 10, hkl 6 2 1
- 2θ 77.20, I = 17, hkl 1 3 2

Structural model:
```
data_Li2MgAg8
_chemical_formula_sum 'Li4 Mg2 Ag16'
_cell_length_a 14.806
_cell_length_b 4.092
_cell_length_c 6.563
_cell_angle_alpha 90.00
_cell_angle_beta 105.84
_cell_angle_gamma 90.00
_space_group_name_H-M_alt 'C 1 2/m 1'
_space_group_IT_number 12
_space_group_name_Hall '-C 2y'
loop_
_atom_site_label
_atom_site_fract_x
_atom_site_fract_y
_atom_site_fract_z
Li1 0.224 0.000 0.145
Mg1 0.000 0.500 0.500
Ag1 0.045 0.000 0.228
Ag2 0.096 0.500 0.957
Ag3 0.141 0.000 0.691
Ag4 0.182 0.500 0.411
```

---

# 10
This entry pairs a crystal structure of CuI2Br with its simulated PXRD pattern. Radiation: Cu Kα (weighted mean of Kα1 and Kα2). Structure: the GGA-PBE geometry in Alexandria.

Principal peaks in the range 15° ≤ 2θ ≤ 90°, low angle first:
- 2θ 16.88, I = 100, hkl 0 1 1
- 2θ 21.21, I = 56, hkl 0 0 2
- 2θ 22.09, I = 65, hkl 1 -1 0
- 2θ 23.65, I = 94, hkl 1 0 2
- 2θ 24.16, I = 87, hkl 1 -1 1
- 2θ 31.57, I = 61, hkl 1 2 0
- 2θ 32.29, I = 52, hkl 2 1 0
- 2θ 32.51, I = 41, hkl 1 1 -2
- 2θ 43.06, I = 40, hkl 1 0 4
- 2θ 47.22, I = 46, hkl -1 2 3

Structural model:
```
data_CuI2Br
_chemical_formula_sum 'Cu2 I4 Br2'
_cell_length_a 6.056
_cell_length_b 6.194
_cell_length_c 8.626
_cell_angle_alpha 81.35
_cell_angle_beta 78.28
_cell_angle_gamma 82.24
_space_group_name_H-M_alt 'P 1'
_space_group_IT_number 1
_space_group_name_Hall 'P 1'
loop_
_atom_site_label
_atom_site_fract_x
_atom_site_fract_y
_atom_site_fract_z
Cu1 0.000 0.000 0.000
Cu2 0.108 0.526 0.709
I1 0.279 0.963 0.202
I2 0.533 0.454 0.594
I3 0.635 0.252 0.094
I4 0.885 0.745 0.499
Br1 0.159 0.129 0.723
Br2 0.968 0.616 0.979
```

---

# 11
This entry pairs a crystal structure of Pu3Np4S12 with its simulated PXRD pattern. Radiation: Cu Kα (weighted mean of Kα1 and Kα2). Structure: the GGA-PBE geometry in Alexandria.

Principal peaks in the range 15° ≤ 2θ ≤ 90°, low angle first:
- 2θ 21.60, I = 6, hkl 2 1 1
- 2θ 24.99, I = 100, hkl 2 2 0
- 2θ 35.64, I = 29, hkl 4 0 0
- 2θ 44.02, I = 58, hkl 4 2 2
- 2θ 51.28, I = 18, hkl 4 4 0
- 2θ 57.87, I = 23, hkl 6 2 0
- 2θ 64.01, I = 6, hkl 4 4 4
- 2θ 69.84, I = 28, hkl 6 2 4
- 2θ 80.95, I = 18, hkl 8 2 2
- 2θ 86.35, I = 8, hkl 8 4 0

Structural model:
```
data_Pu3Np4S12
_chemical_formula_sum 'Pu6 Np8 S24'
_cell_length_a 10.078
_cell_length_b 10.078
_cell_length_c 10.078
_cell_angle_alpha 90.00
_cell_angle_beta 90.00
_cell_angle_gamma 90.00
_space_group_name_H-M_alt 'I m -3'
_space_group_IT_number 204
_space_group_name_Hall '-I 2 2 3'
loop_
_atom_site_label
_atom_site_fract_x
_atom_site_fract_y
_atom_site_fract_z
Pu1 0.000 0.000 0.500
Np1 0.250 0.250 0.250
S1 0.000 0.207 0.321
```

---

# 12
This entry pairs a crystal structure of Ca6ZnCu with its simulated PXRD pattern. Radiation: Cu Kα (weighted mean of Kα1 and Kα2). Structure: the GGA-PBE geometry in Alexandria.

Principal peaks in the range 15° ≤ 2θ ≤ 90°, low angle first:
- 2θ 18.75, I = 8, hkl 0 0 4
- 2θ 30.60, I = 100, hkl 1 1 4
- 2θ 34.14, I = 49, hkl 2 0 0
- 2θ 35.47, I = 9, hkl 2 0 2
- 2θ 37.40, I = 23, hkl 1 1 6
- 2θ 45.45, I = 15, hkl 1 1 8
- 2θ 49.05, I = 16, hkl 2 2 0
- 2θ 58.92, I = 27, hkl 3 1 4
- 2θ 63.27, I = 9, hkl 3 1 6
- 2θ 69.51, I = 9, hkl 2 0 12

Structural model:
```
data_Ca6ZnCu
_chemical_formula_sum 'Ca12 Zn2 Cu2'
_cell_length_a 5.253
_cell_length_b 5.253
_cell_length_c 18.931
_cell_angle_alpha 90.00
_cell_angle_beta 90.00
_cell_angle_gamma 90.00
_space_group_name_H-M_alt 'I 4/m m m'
_space_group_IT_number 139
_space_group_name_Hall '-I 4 2'
loop_
_atom_site_label
_atom_site_fract_x
_atom_site_fract_y
_atom_site_fract_z
Ca1 0.000 0.000 0.249
Ca2 0.000 0.500 0.092
Zn1 0.000 0.000 0.000
Cu1 0.000 0.000 0.500
```